Record 1
# Sr2FeCoO6
Computed XRD peak list, Cu Kα, 1.54184 Å. Input: a crystal structure in the Materials Project, relaxed with GGA+U.
Intensities are scaled so that the largest is 100.

Cell and atoms:
a b c (Å): 5.4904 5.4904 13.3911
angles (deg): 90.00 90.00 120.00
Space group R-3m (No. 166, hexagonal axes)
Asymmetric unit:
Sr  0.0000  0.0000  0.2499
Fe  0.0000  0.0000  0.0000
Co  0.0000  0.0000  0.5000
O  0.0061  0.5030  0.2484

Largest 11 diffraction maxima, in order of rising 2θ, 10 to 80 degrees two-theta:
two_theta  I/Imax
22.94  0.5
32.67  100.0
40.25  9.2
40.41  3.0
46.87  38.2
58.25  28.2
58.45  9.3
68.34  11.0
68.56  10.8
77.85  8.1
78.01  8.0

=====

Record 2
# Li5NiOF5
Computed XRD peak list, Cu Kα, 1.54184 Å. Input: a crystal structure in the Materials Project, relaxed with GGA+U.
Intensities are scaled so that the largest is 100.

Cell and atoms:
a b c (Å): 5.495 6.340 15.577
angles (deg): 95.85 100.10 90.00
Space group P1 (No. 1)
Asymmetric unit:
Li  0.000  0.000  0.000
Li  0.000  0.500  0.000
Li  0.085  0.208  0.837
Li  0.085  0.708  0.837
Li  0.162  0.081  0.324
Li  0.162  0.581  0.324
Li  0.248  0.290  0.162
Li  0.248  0.790  0.162
Li  0.409  0.371  0.485
Li  0.409  0.871  0.485
Li  0.500  0.250  0.000
Li  0.500  0.750  0.000
Li  0.585  0.460  0.837
Li  0.585  0.960  0.837
Li  0.662  0.331  0.324
Li  0.662  0.831  0.324
Li  0.748  0.041  0.162
Li  0.748  0.540  0.162
Li  0.909  0.122  0.485
Li  0.909  0.622  0.485
Ni  0.336  0.172  0.670
Ni  0.337  0.672  0.671
Ni  0.836  0.413  0.671
Ni  0.837  0.913  0.670
O  0.020  0.173  0.706
O  0.021  0.673  0.707
O  0.520  0.930  0.706
O  0.521  0.430  0.707
F  0.100  0.050  0.200
F  0.100  0.550  0.200
F  0.186  0.259  0.038
F  0.186  0.759  0.038
F  0.260  0.130  0.522
F  0.260  0.630  0.522
F  0.347  0.840  0.361
F  0.348  0.340  0.362
F  0.438  0.219  0.876
F  0.438  0.720  0.876
F  0.600  0.300  0.200
F  0.600  0.800  0.200
F  0.686  0.010  0.038
F  0.686  0.509  0.038
F  0.760  0.381  0.522
F  0.760  0.881  0.522
F  0.847  0.091  0.361
F  0.847  0.591  0.361
F  0.938  0.468  0.876
F  0.938  0.968  0.876

Largest 12 diffraction maxima, in order of rising 2θ, 10 to 80 degrees two-theta:
two_theta  I/Imax
11.60  82.2
17.44  36.9
32.60  100.0
33.14  50.1
34.72  40.9
35.31  52.7
37.21  39.8
40.48  37.6
48.81  41.9
58.18  46.5
64.62  27.8
69.92  30.2

=====

Record 3
# Li9Mn2Co5O16
Computed XRD peak list, Cu Kα, 1.54184 Å. Input: a crystal structure in the Materials Project, relaxed with GGA+U.
Intensities are scaled so that the largest is 100.

Cell and atoms:
a b c (Å): 5.107 5.823 10.083
angles (deg): 90.65 99.27 105.99
Space group P1 (No. 1)
Asymmetric unit:
Li  0.000  0.000  0.000
Li  0.000  0.234  0.758
Li  0.000  0.243  0.248
Li  0.000  0.491  0.498
Li  0.002  0.487  0.000
Li  0.002  0.741  0.248
Li  0.007  0.991  0.500
Li  0.502  0.122  0.875
Li  0.999  0.743  0.754
Mn  0.500  0.870  0.629
Mn  0.505  0.613  0.875
Co  0.495  0.874  0.118
Co  0.499  0.116  0.375
Co  0.501  0.363  0.628
Co  0.501  0.611  0.372
Co  0.505  0.359  0.118
O  0.263  0.061  0.189
O  0.269  0.329  0.935
O  0.274  0.804  0.449
O  0.277  0.058  0.681
O  0.278  0.797  0.943
O  0.279  0.301  0.447
O  0.280  0.557  0.194
O  0.283  0.564  0.691
O  0.715  0.668  0.564
O  0.723  0.437  0.805
O  0.724  0.167  0.572
O  0.724  0.909  0.805
O  0.727  0.930  0.312
O  0.734  0.677  0.049
O  0.739  0.426  0.315
O  0.740  0.186  0.070

Largest 12 diffraction maxima, in order of rising 2θ, 10 to 80 degrees two-theta:
two_theta  I/Imax
18.34  100.0
35.94  14.2
36.17  13.1
36.39  12.6
37.74  7.4
43.42  27.9
43.72  27.3
44.03  26.8
47.81  8.6
63.02  7.4
63.63  7.3
63.97  7.4

=====

Record 4
# Rb2LiNd2W4O16
Computed XRD peak list, Cu Kα, 1.54184 Å. Input: a crystal structure in the Materials Project, relaxed with GGA+U.
Intensities are scaled so that the largest is 100.

Cell and atoms:
a b c (Å): 11.342 11.071 7.619
angles (deg): 90.00 130.96 90.00
Space group C2 (No. 5)
Asymmetric unit:
Rb  0.000  0.000  0.000
Rb  0.000  0.417  0.500
Li  0.000  0.713  0.000
Nd  0.000  0.428  0.000
Nd  0.000  0.978  0.500
W  0.200  0.712  0.459
W  0.203  0.698  0.951
O  0.018  0.602  0.211
O  0.018  0.810  0.723
O  0.136  0.302  0.941
O  0.139  0.109  0.439
O  0.191  0.648  0.690
O  0.200  0.763  0.203
O  0.212  0.054  0.885
O  0.214  0.357  0.383

Largest 12 diffraction maxima, in order of rising 2θ, 10 to 80 degrees two-theta:
two_theta  I/Imax
16.01  17.7
26.31  100.0
28.44  79.2
31.09  26.8
31.78  22.5
32.36  34.1
45.47  16.3
45.98  14.0
46.40  13.1
54.15  15.4
54.91  12.7
59.49  18.5

=====

Record 5
# NiH14C10N8O2
Computed XRD peak list, Cu Kα, 1.54184 Å. Input: a crystal structure in the Materials Project, relaxed with GGA+U.
Intensities are scaled so that the largest is 100.

Cell and atoms:
a b c (Å): 13.480 7.362 8.241
angles (deg): 90.00 112.70 90.00
Space group C2/m (No. 12)
Asymmetric unit:
Ni  0.000  0.000  0.000
H  0.097  0.000  0.576
H  0.116  0.379  0.325
H  0.117  0.500  0.514
H  0.210  0.121  0.729
H  0.229  0.000  0.264
C  0.113  0.346  0.922
C  0.146  0.500  0.407
C  0.180  0.000  0.346
C  0.185  0.000  0.645
N  0.099  0.202  0.971
N  0.131  0.500  0.861
N  0.237  0.000  0.519
O  0.080  0.000  0.276

Largest 12 diffraction maxima, in order of rising 2θ, 10 to 80 degrees two-theta:
two_theta  I/Imax
11.64  65.1
13.98  59.3
14.51  85.9
16.36  29.2
21.68  44.0
23.43  100.0
24.18  46.9
24.83  21.8
27.77  22.7
28.31  32.4
31.99  20.3
38.32  22.3

=====

Record 6
# AlNiW2O8
Computed XRD peak list, Cu Kα, 1.54184 Å. Input: a crystal structure in the Materials Project, relaxed with GGA+U.
Intensities are scaled so that the largest is 100.

Cell and atoms:
a b c (Å): 5.060 5.608 9.141
angles (deg): 90.02 90.89 90.76
Space group P1 (No. 1)
Asymmetric unit:
Al  0.000  0.000  0.000
Al  0.496  0.303  0.500
Ni  0.497  0.299  0.999
Ni  0.999  0.010  0.499
W  0.003  0.492  0.250
W  0.502  0.828  0.247
W  0.509  0.830  0.748
W  0.996  0.492  0.749
O  0.137  0.267  0.877
O  0.155  0.777  0.861
O  0.158  0.772  0.358
O  0.175  0.292  0.384
O  0.315  0.029  0.106
O  0.320  0.543  0.136
O  0.327  0.539  0.634
O  0.347  0.056  0.613
O  0.639  0.050  0.381
O  0.672  0.532  0.361
O  0.678  0.023  0.889
O  0.680  0.537  0.859
O  0.821  0.293  0.611
O  0.827  0.770  0.631
O  0.832  0.772  0.128
O  0.856  0.267  0.118

Largest 12 diffraction maxima, in order of rising 2θ, 10 to 80 degrees two-theta:
two_theta  I/Imax
19.42  100.0
23.53  50.1
23.85  52.7
25.14  94.2
30.52  66.2
30.75  68.7
30.86  67.4
31.12  64.6
35.49  47.6
36.43  33.3
52.92  41.8
54.55  42.3

=====

Record 7
# KV3Ge2O9
Computed XRD peak list, Cu Kα, 1.54184 Å. Input: a crystal structure in the Materials Project, relaxed with GGA+U.
Intensities are scaled so that the largest is 100.

Cell and atoms:
a b c (Å): 5.987 10.369 13.811
angles (deg): 90.00 90.15 90.00
Space group C2/c (No. 15)
Asymmetric unit:
K  0.000  0.167  0.250
V  0.000  0.000  0.000
V  0.250  0.250  0.000
V  0.250  0.250  0.500
Ge  0.000  0.500  0.123
O  0.000  0.500  0.250
O  0.001  0.166  0.932
O  0.001  0.335  0.414
O  0.247  0.417  0.586
O  0.248  0.417  0.914

Largest 12 diffraction maxima, in order of rising 2θ, 10 to 80 degrees two-theta:
two_theta  I/Imax
12.82  98.8
17.10  45.3
29.85  31.2
31.12  100.0
32.60  18.6
34.60  44.6
37.04  21.4
39.86  23.9
39.93  18.7
53.76  26.7
62.01  32.6
64.85  19.3

=====

Record 8
# Mg2TaWO6
Computed XRD peak list, Cu Kα, 1.54184 Å. Input: a crystal structure in the Materials Project, relaxed with GGA+U.
Intensities are scaled so that the largest is 100.

Cell and atoms:
a b c (Å): 5.331 5.463 9.421
angles (deg): 90.00 124.14 90.00
Space group P2_1/c (No. 14)
Asymmetric unit:
Mg  0.247  0.042  0.249
Ta  0.500  0.000  0.000
W  0.000  0.000  0.500
O  0.128  0.079  0.761
O  0.252  0.666  0.567
O  0.418  0.186  0.575

Largest 12 diffraction maxima, in order of rising 2θ, 10 to 80 degrees two-theta:
two_theta  I/Imax
22.81  53.1
23.31  100.0
32.78  93.3
32.91  61.5
33.62  27.6
40.32  18.5
46.59  14.8
47.67  26.9
58.14  15.2
58.51  21.2
59.50  14.9
59.76  15.6